# 1
Simulated powder diffraction line list of AcMgH6Pd4 for Cu Kα (weighted mean of Kα1 and Kα2), from a cell relaxed with GGA-PBE.
Kinematic intensities with the Lorentz-polarization factor, no thermal factor.

Largest 8 diffraction maxima, sorted by position, 2θ from 10° to 90°:
24.63°, I = 95.5, (1 0 1); 32.91°, I = 97.9, (1 0 2); 37.20°, I = 100.0, (1 1 0); 37.68°, I = 24.1, (0 0 3); 45.12°, I = 20.2, (2 0 1); 50.50°, I = 28.9, (2 0 2); 53.98°, I = 53.0, (1 1 3); 64.37°, I = 28.3, (2 1 2)

Cell and atoms:
Cell lengths 4.8343, 4.8343, 7.1626 Å; angles 90.00, 90.00, 120.00 degrees
Space group P6/mmm (No. 191)
Unique sites:
Ac: 0.0000 0.0000 0.0000
Mg: 0.0000 0.0000 0.5000
H: 0.0000 0.5000 0.1635
Pd: 0.3333 0.6667 0.3123

# 2
Simulated powder diffraction line list of AcMgH6Pt3 for Cu Kα (weighted mean of Kα1 and Kα2), from a cell relaxed with GGA-PBE.
Kinematic intensities with the Lorentz-polarization factor, no thermal factor.

Largest 8 diffraction maxima, sorted by position, 2θ from 10° to 90°:
17.52°, I = 24.7, (1 0 1); 24.69°, I = 22.4, (1 1 0); 30.43°, I = 100.0, (0 2 1); 31.03°, I = 56.5, (0 0 3); 35.46°, I = 75.1, (2 0 2); 39.57°, I = 46.6, (3 -1 1); 43.69°, I = 29.0, (1 2 2); 51.41°, I = 23.4, (0 2 4)

Cell and atoms:
Cell lengths 7.2124, 7.2124, 8.6462 Å; angles 90.00, 90.00, 120.00 degrees
Space group R3 (No. 146, hexagonal axes)
Unique sites:
Ac: 0.0000 0.0000 0.0000
Mg: 0.0000 0.0000 0.5991
H: 0.0261 0.6802 0.8367
H: 0.0972 0.4296 0.4079
Pt: 0.0822 0.5800 0.0170

# 3
Simulated powder diffraction line list of Ac2MgTcH6 for Cu Kα (weighted mean of Kα1 and Kα2), from a cell relaxed with GGA-PBE.
Kinematic intensities with the Lorentz-polarization factor, no thermal factor.

Largest 8 diffraction maxima, sorted by position, 2θ from 10° to 90°:
20.72°, I = 39.2, (0 0 1); 22.90°, I = 62.5, (0 2 0); 30.96°, I = 50.5, (2 0 0); 31.08°, I = 100.0, (0 2 1); 31.20°, I = 49.5, (2 0 -2); 32.61°, I = 88.1, (2 2 -1); 57.13°, I = 36.6, (2 4 0); 57.35°, I = 36.1, (4 2 -3)

Cell and atoms:
Cell lengths 7.7657, 7.7663, 5.7616 Å; angles 90.00, 131.94, 90.00 degrees
Space group C2/m (No. 12)
Unique sites:
Ac: 0.0000 0.2501 0.0000
Mg: 0.0000 0.0000 0.5000
Tc: 0.0000 0.5000 0.5000
H: 0.0000 0.2682 0.5000
H: 0.2145 0.5000 0.9296
H: 0.2318 0.5000 0.4999

# 4
Simulated powder diffraction line list of AcMnH5 for Cu Kα (weighted mean of Kα1 and Kα2), from a cell relaxed with GGA-PBE.
Kinematic intensities with the Lorentz-polarization factor, no thermal factor.

Largest 8 diffraction maxima, sorted by position, 2θ from 10° to 90°:
21.31°, I = 68.1, (0 1 1); 25.44°, I = 67.4, (0 0 2); 26.19°, I = 42.1, (1 0 1); 28.67°, I = 100.0, (1 1 0); 34.56°, I = 30.0, (0 2 0); 38.70°, I = 90.0, (1 1 2); 43.40°, I = 33.7, (0 2 2); 60.68°, I = 24.3, (1 1 4)

Cell and atoms:
Cell lengths 3.8921, 5.1904, 7.0035 Å; angles 90.00, 90.00, 90.00 degrees
Space group Immm (No. 71)
Unique sites:
Ac: 0.0000 0.0000 0.0000
Mn: 0.0000 0.0000 0.5000
H: 0.0000 0.2348 0.3398
H: 0.0000 0.5000 0.0000

# 5
Simulated powder diffraction line list of Ac6HN5 for Cu Kα (weighted mean of Kα1 and Kα2), from a cell relaxed with GGA-PBE.
Kinematic intensities with the Lorentz-polarization factor, no thermal factor.

Largest 8 diffraction maxima, sorted by position, 2θ from 10° to 90°:
27.97°, I = 78.2, (1 3 -1); 28.06°, I = 77.8, (0 0 2); 32.46°, I = 100.0, (1 3 1); 46.53°, I = 60.3, (1 3 -3); 55.16°, I = 48.7, (0 6 2); 55.34°, I = 24.9, (1 3 3); 74.93°, I = 14.6, (1 9 -1); 77.29°, I = 15.5, (4 6 0)

Cell and atoms:
Cell lengths 6.7630, 11.7213, 6.7525 Å; angles 90.00, 109.74, 90.00 degrees
Space group C2/m (No. 12)
Unique sites:
Ac: 0.2370 0.0000 0.2602
Ac: 0.2434 0.1733 0.7463
H: 0.0000 0.5000 0.0000
N: 0.0000 0.0000 0.5000
N: 0.0000 0.1633 0.0000
N: 0.0000 0.3239 0.5000

# 6
Simulated powder diffraction line list of Ac2H2N for Cu Kα (weighted mean of Kα1 and Kα2), from a cell relaxed with GGA-PBE.
Kinematic intensities with the Lorentz-polarization factor, no thermal factor.

Largest 8 diffraction maxima, sorted by position, 2θ from 10° to 90°:
25.08°, I = 49.5, (1 0 1); 28.44°, I = 100.0, (1 0 2); 30.75°, I = 28.5, (0 0 4); 33.34°, I = 25.1, (1 0 3); 41.97°, I = 37.6, (1 1 0); 51.48°, I = 20.6, (2 0 2); 52.93°, I = 38.2, (1 1 4); 53.27°, I = 18.9, (1 0 6)

Cell and atoms:
Cell lengths 4.3050, 4.3050, 11.6290 Å; angles 90.00, 90.00, 120.00 degrees
Space group P6_3/mmc (No. 194)
Unique sites:
Ac: 0.0000 0.0000 0.0000
Ac: 0.3333 0.6667 0.2500
H: 0.3333 0.6667 0.5668
N: 0.0000 0.0000 0.2500